# 1
The following is a computed X-ray diffraction stick pattern of Sm4Au2O9. It was derived from a PBE-relaxed structure, using Cu Kα X-rays.
No peak broadening, texture or thermal motion is included.

Atomic structure:
Unit cell a=11.9442 b=6.1014 c=11.9532 alpha=90.00 beta=90.00 gamma=90.00
Positions (direct):
Sm  0.0112  0.2415  0.0898
Sm  0.0112  0.7585  0.5898
Sm  0.1593  0.1962  0.7640
Sm  0.1593  0.8038  0.2640
Sm  0.3407  0.3038  0.2640
Sm  0.3407  0.6962  0.7640
Sm  0.4888  0.2585  0.5898
Sm  0.4888  0.7415  0.0898
Sm  0.5112  0.2585  0.9102
Sm  0.5112  0.7415  0.4102
Sm  0.6593  0.3038  0.2360
Sm  0.6593  0.6962  0.7360
Sm  0.8407  0.1962  0.7360
Sm  0.8407  0.8038  0.2360
Sm  0.9888  0.2415  0.4102
Sm  0.9888  0.7585  0.9102
Au  0.2288  0.4199  0.5108
Au  0.2288  0.5801  0.0108
Au  0.2712  0.0801  0.0108
Au  0.2712  0.9199  0.5108
Au  0.7288  0.0801  0.4892
Au  0.7288  0.9199  0.9892
Au  0.7712  0.4199  0.9892
Au  0.7712  0.5801  0.4892
O  0.0000  0.0237  0.2500
O  0.0000  0.9763  0.7500
O  0.0761  0.3884  0.5888
O  0.0761  0.6116  0.0888
O  0.1136  0.0634  0.9455
O  0.1136  0.9366  0.4455
O  0.1632  0.4396  0.3506
O  0.1632  0.5604  0.8506
O  0.1965  0.1271  0.1595
O  0.1965  0.8729  0.6595
O  0.3035  0.3729  0.6595
O  0.3035  0.6271  0.1595
O  0.3368  0.0604  0.8506
O  0.3368  0.9396  0.3506
O  0.3864  0.4366  0.4455
O  0.3864  0.5634  0.9455
O  0.4239  0.1116  0.0888
O  0.4239  0.8884  0.5888
O  0.5000  0.4763  0.7500
O  0.5000  0.5237  0.2500
O  0.5761  0.1116  0.4112
O  0.5761  0.8884  0.9112
O  0.6136  0.4366  0.0545
O  0.6136  0.5634  0.5545
O  0.6632  0.0604  0.6494
O  0.6632  0.9396  0.1494
O  0.6965  0.3729  0.8405
O  0.6965  0.6271  0.3405
O  0.8035  0.1271  0.3405
O  0.8035  0.8729  0.8405
O  0.8368  0.4396  0.1494
O  0.8368  0.5604  0.6494
O  0.8864  0.0634  0.5545
O  0.8864  0.9366  0.0545
O  0.9239  0.3884  0.9112
O  0.9239  0.6116  0.4112

Main lines, sorted by position (2θ from 10° to 90°):
Position (°2θ)  d/Å  Rel. int.
14.83  5.974  28.4
27.77  3.212  100.0
29.91  2.987  20.3
31.17  2.869  35.8
32.97  2.717  23.3
33.54  2.672  70.0
36.32  2.473  27.3
46.76  1.943  20.9
48.16  1.889  19.7
55.07  1.668  18.6

=====

# 2
The following is a computed X-ray diffraction stick pattern of SmZnAuO4. It was derived from a PBE-relaxed structure, using Cu Kα X-rays.
No peak broadening, texture or thermal motion is included.

Atomic structure:
Unit cell a=7.0450 b=7.0450 c=7.0450 alpha=126.69 beta=118.98 gamma=85.30
Positions (direct):
Sm  0.0000  0.0000  0.0000
Sm  0.5000  0.0000  0.5000
Zn  0.3297  0.5797  0.7500
Zn  0.6703  0.4203  0.2500
Au  0.0000  0.0000  0.5000
Au  0.0000  0.5000  0.0000
O  0.1646  0.2315  0.9331
O  0.2016  0.7685  0.4331
O  0.2945  0.2672  0.4727
O  0.2945  0.8217  0.0273
O  0.7055  0.1783  0.9727
O  0.7055  0.7328  0.5273
O  0.7984  0.2315  0.5669
O  0.8354  0.7685  0.0669

Main lines, sorted by position (2θ from 10° to 90°):
Position (°2θ)  d/Å  Rel. int.
15.05  5.887  100.0
28.70  3.111  76.9
29.97  2.981  63.4
30.37  2.944  45.8
32.14  2.785  52.8
33.20  2.698  58.7
34.62  2.591  32.4
37.99  2.368  41.5
51.07  1.788  33.1
52.34  1.748  50.6

=====

# 3
The following is a computed X-ray diffraction stick pattern of SrTlAuO4. It was derived from a PBE-relaxed structure, using Cu Kα X-rays.
No peak broadening, texture or thermal motion is included.

Atomic structure:
Unit cell a=6.2962 b=6.2962 c=7.0069 alpha=90.00 beta=90.00 gamma=119.25
Positions (direct):
Sr  0.0000  0.0000  0.0000
Sr  0.0000  0.0000  0.5000
Tl  0.3238  0.6762  0.7500
Tl  0.6762  0.3238  0.2500
Au  0.3653  0.6347  0.2500
Au  0.6347  0.3653  0.7500
O  0.2294  0.7706  0.0273
O  0.2294  0.7706  0.4727
O  0.2681  0.2929  0.7500
O  0.2929  0.2681  0.2500
O  0.7071  0.7319  0.7500
O  0.7319  0.7071  0.2500
O  0.7706  0.2294  0.5273
O  0.7706  0.2294  0.9727

Main lines, sorted by position (2θ from 10° to 90°):
Position (°2θ)  d/Å  Rel. int.
16.13  5.493  35.4
25.42  3.503  34.3
28.03  3.184  67.1
28.35  3.148  100.0
30.26  2.954  94.8
38.45  2.342  37.7
49.80  1.831  24.1
51.34  1.780  32.3
60.29  1.535  23.8
60.48  1.531  25.1

=====

# 4
The following is a computed X-ray diffraction stick pattern of Sr2TmAuO4. It was derived from a PBE-relaxed structure, using Cu Kα X-rays.
No peak broadening, texture or thermal motion is included.

Atomic structure:
Unit cell a=6.6520 b=6.6520 c=6.6520 alpha=132.18 beta=132.18 gamma=69.95
Positions (direct):
Sr  0.0000  0.0000  0.0000
Sr  0.7500  0.2500  0.5000
Tm  0.5000  0.5000  0.0000
Au  0.2500  0.7500  0.5000
O  0.1562  0.1655  0.5451
O  0.3889  0.8438  0.0093
O  0.6204  0.6111  0.4549
O  0.8345  0.3796  0.9907

Main lines, sorted by position (2θ from 10° to 90°):
Position (°2θ)  d/Å  Rel. int.
18.36  4.833  17.8
28.57  3.124  100.0
32.86  2.725  13.3
33.23  2.696  25.8
47.43  1.917  29.8
47.70  1.906  14.7
56.07  1.640  15.1
56.55  1.627  29.4
59.14  1.562  10.7
76.64  1.243  12.2

=====

# 5
The following is a computed X-ray diffraction stick pattern of Tb4Au2O. It was derived from a PBE-relaxed structure, using Cu Kα X-rays.
No peak broadening, texture or thermal motion is included.

Atomic structure:
Unit cell a=6.8240 b=6.9751 c=7.6584 alpha=90.00 beta=105.93 gamma=90.00
Positions (direct):
Tb  0.0059  0.0076  0.2501
Tb  0.0059  0.4924  0.2501
Tb  0.4088  0.2500  0.5941
Tb  0.4300  0.2500  0.1172
Tb  0.5700  0.7500  0.8828
Tb  0.5912  0.7500  0.4059
Tb  0.9941  0.5076  0.7499
Tb  0.9941  0.9924  0.7499
Au  0.2270  0.7500  0.5492
Au  0.2405  0.7500  0.0665
Au  0.7595  0.2500  0.9335
Au  0.7730  0.2500  0.4508
O  0.2326  0.2500  0.3047
O  0.7674  0.7500  0.6953

Main lines, sorted by position (2θ from 10° to 90°):
Position (°2θ)  d/Å  Rel. int.
18.57  4.779  25.7
28.99  3.080  56.0
30.94  2.890  43.9
31.14  2.872  45.0
33.56  2.670  39.9
33.75  2.656  39.4
35.48  2.530  100.0
37.64  2.390  28.7
43.35  2.087  28.6
47.49  1.915  26.1

=====

# 6
The following is a computed X-ray diffraction stick pattern of Tb2Au2O7. It was derived from a PBE-relaxed structure, using Cu Kα X-rays.
No peak broadening, texture or thermal motion is included.

Atomic structure:
Unit cell a=7.4393 b=7.4393 c=7.4393 alpha=60.00 beta=60.00 gamma=60.00
Positions (direct):
Tb  0.0000  0.0000  0.0000
Tb  0.0000  0.0000  0.5000
Tb  0.0000  0.5000  0.0000
Tb  0.5000  0.0000  0.0000
Au  0.0000  0.5000  0.5000
Au  0.5000  0.0000  0.5000
Au  0.5000  0.5000  0.0000
Au  0.5000  0.5000  0.5000
O  0.1250  0.1250  0.1250
O  0.1547  0.1547  0.5953
O  0.1547  0.5953  0.1547
O  0.1547  0.5953  0.5953
O  0.4047  0.4047  0.8453
O  0.4047  0.8453  0.4047
O  0.4047  0.8453  0.8453
O  0.5953  0.1547  0.1547
O  0.5953  0.1547  0.5953
O  0.5953  0.5953  0.1547
O  0.8453  0.4047  0.4047
O  0.8453  0.4047  0.8453
O  0.8453  0.8453  0.4047
O  0.8750  0.8750  0.8750

Main lines, sorted by position (2θ from 10° to 90°):
Position (°2θ)  d/Å  Rel. int.
14.58  6.074  1.5
28.13  3.172  2.1
29.41  3.037  100.0
34.09  2.630  36.7
48.98  1.860  46.9
58.16  1.586  44.8
61.02  1.519  10.5
71.78  1.315  7.1
79.41  1.207  18.5
81.90  1.176  14.8

=====

# 7
The following is a computed X-ray diffraction stick pattern of Tc3AuO12. It was derived from a PBE-relaxed structure, using Cu Kα X-rays.
No peak broadening, texture or thermal motion is included.

Atomic structure:
Unit cell a=10.9593 b=10.9593 c=10.9593 alpha=48.65 beta=48.65 gamma=48.65
Positions (direct):
Tc  0.0221  0.3735  0.6044
Tc  0.1044  0.8735  0.5221
Tc  0.3735  0.6044  0.0221
Tc  0.5221  0.1044  0.8735
Tc  0.6044  0.0221  0.3735
Tc  0.8735  0.5221  0.1044
Au  0.2445  0.2445  0.2445
Au  0.7445  0.7445  0.7445
O  0.0549  0.3920  0.4106
O  0.0859  0.0915  0.4259
O  0.0915  0.4259  0.0859
O  0.1238  0.7536  0.7194
O  0.2194  0.2536  0.6238
O  0.2536  0.6238  0.2194
O  0.2681  0.7890  0.8827
O  0.2890  0.7681  0.3827
O  0.3827  0.2890  0.7681
O  0.3920  0.4106  0.0549
O  0.4106  0.0549  0.3920
O  0.4259  0.0859  0.0915
O  0.5549  0.9106  0.8920
O  0.5859  0.9259  0.5915
O  0.5915  0.5859  0.9259
O  0.6238  0.2194  0.2536
O  0.7194  0.1238  0.7536
O  0.7536  0.7194  0.1238
O  0.7681  0.3827  0.2890
O  0.7890  0.8827  0.2681
O  0.8827  0.2681  0.7890
O  0.8920  0.5549  0.9106
O  0.9106  0.8920  0.5549
O  0.9259  0.5915  0.5859

Main lines, sorted by position (2θ from 10° to 90°):
Position (°2θ)  d/Å  Rel. int.
12.87  6.877  100.0
16.70  5.308  15.7
21.74  4.088  52.6
25.91  3.439  34.7
27.06  3.295  54.6
34.25  2.618  13.6
34.41  2.606  12.9
39.37  2.289  12.4
51.66  1.769  15.5
57.31  1.608  14.9

=====

# 8
The following is a computed X-ray diffraction stick pattern of Tl4Au2O. It was derived from a PBE-relaxed structure, using Cu Kα X-rays.
No peak broadening, texture or thermal motion is included.

Atomic structure:
Unit cell a=8.2498 b=8.2498 c=8.2498 alpha=144.49 beta=144.49 gamma=51.09
Positions (direct):
Tl  0.0000  0.5000  0.5000
Tl  0.1723  0.1723  0.0000
Tl  0.5000  0.0000  0.5000
Tl  0.8277  0.8277  0.0000
Au  0.3780  0.3780  0.0000
Au  0.6220  0.6220  0.0000
O  0.0000  0.0000  0.0000

Main lines, sorted by position (2θ from 10° to 90°):
Position (°2θ)  d/Å  Rel. int.
25.03  3.558  23.2
27.79  3.210  72.6
34.89  2.572  100.0
35.02  2.562  38.8
35.69  2.516  80.4
50.87  1.795  27.1
51.36  1.779  28.9
51.75  1.767  22.2
59.40  1.556  18.2
63.61  1.463  43.3